[1]
The following is a theoretical XRD peak list of V2CrMo6. It was derived from a DFT-relaxed cell (PBE, Alexandria), using a wavelength of 1.5418 Å.

Top 6 peaks for 10° ≤ 2θ ≤ 80°, in order of rising 2θ:
25.95°, rel. 11.0, hkl 0 1 1; 41.15°, rel. 100.0, hkl 1 1 0; 41.28°, rel. 99.0, hkl 0 1 3; 59.70°, rel. 31.6, hkl 2 0 3; 75.05°, rel. 47.8, hkl 3 0 0; 75.34°, rel. 15.7, hkl 1 0 6

Cell and atoms:
Cell lengths 4.3871, 4.3871, 8.0247 Å; angles 90.00, 90.00, 120.00 degrees
Space group P-3m1 (No. 164)
Asymmetric unit:
V: 0.3333 0.6667 0.4449 [2 per cell]
Cr: 0.0000 0.0000 0.0000 [1 per cell]
Mo: 0.0000 0.0000 0.3341 [2 per cell]
Mo: 0.3333 0.6667 0.1096 [2 per cell]
Mo: 0.3333 0.6667 0.7759 [2 per cell]


[2]
The following is a theoretical XRD peak list of Sm8AlGa6. It was derived from a DFT-relaxed cell (PBE, Alexandria), using a wavelength of 1.5418 Å.

Top 6 peaks for 10° ≤ 2θ ≤ 80°, in order of rising 2θ:
24.84°, rel. 48.9, hkl 1 1 3; 31.16°, rel. 24.4, hkl 3 -1 1; 32.33°, rel. 26.1, hkl 3 -2 2; 35.01°, rel. 77.3, hkl 3 0 0; 35.80°, rel. 100.0, hkl 2 -1 6; 50.94°, rel. 29.4, hkl 2 2 6

Cell and atoms:
Cell lengths 8.8784, 8.8784, 18.2372 Å; angles 90.00, 90.00, 120.00 degrees
Space group R-3 (No. 148, hexagonal axes)
Asymmetric unit:
Sm: 0.0000 0.0000 0.1715 [6 per cell]
Sm: 0.0100 0.7292 0.6091 [18 per cell]
Al: 0.0000 0.0000 0.5000 [3 per cell]
Ga: 0.0035 0.6537 0.4452 [18 per cell]


[3]
The following is a theoretical XRD peak list of Ho8AsP3Se4. It was derived from a DFT-relaxed cell (PBE, Alexandria), using a wavelength of 1.5418 Å.

Top 6 peaks for 10° ≤ 2θ ≤ 80°, in order of rising 2θ:
27.12°, rel. 29.4, hkl 2 0 2; 31.31°, rel. 100.0, hkl 0 2 4; 44.63°, rel. 35.2, hkl 2 0 8; 45.10°, rel. 37.0, hkl 2 2 0; 55.92°, rel. 19.1, hkl 4 0 4; 74.56°, rel. 16.3, hkl 2 4 4

Cell and atoms:
Cell lengths 8.0414, 8.0414, 19.9963 Å; angles 90.00, 90.00, 120.00 degrees
Space group R-3m (No. 166, hexagonal axes)
Asymmetric unit:
Ho: 0.0000 0.0000 0.2425 [6 per cell]
Ho: 0.0055 0.5028 0.7564 [18 per cell]
As: 0.0000 0.0000 0.5000 [3 per cell]
P: 0.0000 0.5000 0.5000 [9 per cell]
Se: 0.0000 0.0000 0.0000 [3 per cell]
Se: 0.0000 0.5000 0.0000 [9 per cell]


[4]
The following is a theoretical XRD peak list of FeIr3Rh. It was derived from a DFT-relaxed cell (PBE, Alexandria), using a wavelength of 1.5418 Å.

Top 6 peaks for 10° ≤ 2θ ≤ 80°, in order of rising 2θ:
38.17°, rel. 36.4, hkl 2 -1 0; 41.29°, rel. 38.9, hkl 0 2 -2; 43.59°, rel. 100.0, hkl 1 1 1; 43.66°, rel. 49.9, hkl 1 -1 3; 68.95°, rel. 17.0, hkl -3 2 2; 76.93°, rel. 14.3, hkl 1 -3 5

Cell and atoms:
Cell lengths 4.713, 5.144, 6.990 Å; angles 108.94, 90.17, 117.13 degrees
Space group P-1 (No. 2)
Asymmetric unit:
Fe: 0.063 0.293 0.048 [2 per cell]
Ir: 0.133 0.102 0.346 [2 per cell]
Ir: 0.267 0.703 0.451 [2 per cell]
Ir: 0.472 0.103 0.853 [2 per cell]
Rh: 0.330 0.500 0.759 [2 per cell]